# YHoTi
Calculated powder X-ray diffraction pattern, a wavelength of 1.5418 Å. Input: a crystal structure in Alexandria, relaxed with GGA-PBE.
No peak broadening, texture or thermal motion is included.

Crystal structure
```
data_YHoTi
_cell_length_a 3.1511
_cell_length_b 5.1162
_cell_length_c 9.9935
_cell_angle_alpha 90.00
_cell_angle_beta 90.00
_cell_angle_gamma 90.00
_symmetry_space_group_name_H-M 'P m m n'
_symmetry_Int_Tables_number 59
loop_
_symmetry_equiv_pos_as_xyz
'x,y,z'
'-x,-y,-z'
'-x+1/2,-y+1/2,z'
'x+1/2,y+1/2,-z'
'x+1/2,-y,-z'
'-x+1/2,y,z'
'-x,y+1/2,-z'
'x,-y+1/2,z'
loop_
_atom_site_label
_atom_site_type_symbol
_atom_site_fract_x
_atom_site_fract_y
_atom_site_fract_z
Y1 Y 0.2500 0.2500 0.2227
Ho1 Ho 0.2500 0.7500 0.4320
Ti1 Ti 0.2500 0.7500 0.0460
```

Peak list (10 most intense, 2θ = 10–90°, low angle first)
index  two_theta  intensity
0 1 2  24.91  415
1 0 1  29.73  484
0 1 3  32.06  1000
1 1 1  34.62  307
0 2 0  35.08  482
1 1 2  38.07  911
1 2 1  46.63  273
1 3 2  64.91  183
1 2 5  66.35  197
2 1 3  68.37  216